The following is a calculated X-ray powder pattern of La8TlIn2. It was derived from DFT lattice parameters and positions (PBE), using a wavelength of 1.5418 Å.

Structure:
```
data_La8TlIn2
_cell_length_a 9.1576
_cell_length_b 15.3629
_cell_length_c 6.0610
_cell_angle_alpha 90.00
_cell_angle_beta 118.10
_cell_angle_gamma 90.00
_symmetry_space_group_name_H-M 'C 1 2/m 1'
_symmetry_Int_Tables_number 12
_symmetry_space_group_name_Hall '-C 2y'
loop_
_atom_site_label
_atom_site_type_symbol
_atom_site_fract_x
_atom_site_fract_y
_atom_site_fract_z
La1 La 0.0000 0.2232 0.0000
La2 La 0.0987 0.5000 0.8031
La3 La 0.1956 0.1088 0.5700
Tl1 Tl 0.0000 0.0000 0.0000
In1 In 0.0000 0.3043 0.5000
```

Peak list (10 most intense, 2θ = 10–90°, in order of rising 2θ)
two_theta, I_rel
28.62, 89
29.86, 100
30.43, 64
32.16, 70
32.84, 88
33.52, 64
35.56, 24
55.99, 26
59.55, 20
62.33, 20

The following is a calculated X-ray powder pattern of La6TlIn5. It was derived from DFT lattice parameters and positions (PBE), using a wavelength of 1.5418 Å.

Structure:
```
data_La6TlIn5
_cell_length_a 9.6915
_cell_length_b 16.8219
_cell_length_c 5.5967
_cell_angle_alpha 90.00
_cell_angle_beta 125.21
_cell_angle_gamma 90.00
_symmetry_space_group_name_H-M 'C 1 2/m 1'
_symmetry_Int_Tables_number 12
_symmetry_space_group_name_Hall '-C 2y'
loop_
_atom_site_label
_atom_site_type_symbol
_atom_site_fract_x
_atom_site_fract_y
_atom_site_fract_z
La1 La 0.2488 0.0000 0.2487
La2 La 0.2494 0.1672 0.7494
Tl1 Tl 0.0000 0.5000 0.0000
In1 In 0.0000 0.0000 0.5000
In2 In 0.0000 0.1665 0.0000
In3 In 0.0000 0.3336 0.5000
```

Peak list (10 most intense, 2θ = 10–90°, in order of rising 2θ)
two_theta, I_rel
31.96, 100
45.82, 18
56.93, 29
57.01, 9
66.76, 6
66.85, 6
75.96, 11
76.02, 5
84.75, 3
84.92, 1

The following is a calculated X-ray powder pattern of La2Tl3In2. It was derived from DFT lattice parameters and positions (PBE), using a wavelength of 1.5418 Å.

Structure:
```
data_La2Tl3In2
_cell_length_a 9.5995
_cell_length_b 9.5995
_cell_length_c 9.5995
_cell_angle_alpha 90.00
_cell_angle_beta 90.00
_cell_angle_gamma 90.00
_symmetry_space_group_name_H-M 'I 21 3'
_symmetry_Int_Tables_number 199
_symmetry_space_group_name_Hall 'I 2b 2c 3'
loop_
_atom_site_label
_atom_site_type_symbol
_atom_site_fract_x
_atom_site_fract_y
_atom_site_fract_z
La1 La 0.2471 0.2471 0.2471
Tl1 Tl 0.0000 0.2500 0.9936
In1 In 0.0615 0.4385 0.5615
```

Peak list (10 most intense, 2θ = 10–90°, in order of rising 2θ)
two_theta, I_rel
13.04, 26
22.69, 26
29.42, 62
32.31, 100
34.97, 63
37.48, 62
39.84, 23
48.35, 27
54.04, 43
64.38, 61

Copy entry 1 word for word.
The following is a calculated X-ray powder pattern of La8TlIn2. It was derived from DFT lattice parameters and positions (PBE), using a wavelength of 1.5418 Å.

Structure:
```
data_La8TlIn2
_cell_length_a 9.1576
_cell_length_b 15.3629
_cell_length_c 6.0610
_cell_angle_alpha 90.00
_cell_angle_beta 118.10
_cell_angle_gamma 90.00
_symmetry_space_group_name_H-M 'C 1 2/m 1'
_symmetry_Int_Tables_number 12
_symmetry_space_group_name_Hall '-C 2y'
loop_
_atom_site_label
_atom_site_type_symbol
_atom_site_fract_x
_atom_site_fract_y
_atom_site_fract_z
La1 La 0.0000 0.2232 0.0000
La2 La 0.0987 0.5000 0.8031
La3 La 0.1956 0.1088 0.5700
Tl1 Tl 0.0000 0.0000 0.0000
In1 In 0.0000 0.3043 0.5000
```

Peak list (10 most intense, 2θ = 10–90°, in order of rising 2θ)
two_theta, I_rel
28.62, 89
29.86, 100
30.43, 64
32.16, 70
32.84, 88
33.52, 64
35.56, 24
55.99, 26
59.55, 20
62.33, 20